# 1
The following is a simulated powder X-ray diffraction pattern of La3Te2I2. It was derived from a cell relaxed with GGA-PBE, using copper Kα.
Intensities are scaled so that the largest is 100.

Atomic structure:
Cell: 4.556 7.673 7.958 Å, 78.85 73.43 89.95°
Space group P-1 (No. 2)
Unique sites:
La1 0.000 0.000 0.000 [1 per cell]
La2 0.259 0.757 0.482 [2 per cell]
Te1 0.125 0.381 0.751 [2 per cell]
I1 0.387 0.168 0.226 [2 per cell]

Most intense lines, 5° ≤ 2θ ≤ 70°, by intensity:
d/Å	intensity	hkl
3.237	100	1 1 2
3.113	45	0 2 -1
2.229	31	1 3 1
2.300	19	0 2 3
2.278	19	2 0 1
1.838	18	2 2 0



# 2
The following is a simulated powder X-ray diffraction pattern of La4TlI6. It was derived from a cell relaxed with GGA-PBE, using copper Kα.
Intensities are scaled so that the largest is 100.

Atomic structure:
Cell: 10.758 10.758 7.815 Å, 90.00 90.00 90.00°
Space group P4_2/nmc (No. 137, origin choice 2)
Unique sites:
La1 0.000 0.250 0.079 [8 per cell]
Tl1 0.250 0.750 0.750 [2 per cell]
I1 0.042 0.542 0.250 [8 per cell]
I2 0.250 0.250 0.329 [4 per cell]

Most intense lines, 5° ≤ 2θ ≤ 70°, by intensity:
d/Å	intensity	hkl
2.726	100	2 2 2
4.431	79	2 0 1
3.259	75	3 0 1
2.690	73	4 0 0
3.033	51	2 1 2
2.291	41	2 1 3



# 3
The following is a simulated powder X-ray diffraction pattern of LaTl3I6. It was derived from a cell relaxed with GGA-PBE, using copper Kα.
Intensities are scaled so that the largest is 100.

Atomic structure:
Cell: 8.352 9.261 14.200 Å, 90.00 121.40 90.00°
Space group P2_1/c (No. 14)
Unique sites:
La1 0.000 0.000 0.000 [2 per cell]
Tl1 0.311 0.094 0.778 [4 per cell]
Tl2 0.500 0.000 0.500 [2 per cell]
I1 0.088 0.064 0.242 [4 per cell]
I2 0.245 0.712 0.085 [4 per cell]
I3 0.367 0.170 0.051 [4 per cell]

Most intense lines, 5° ≤ 2θ ≤ 70°, by intensity:
d/Å	intensity	hkl
2.829	100	1 3 0
4.210	86	1 1 -3
3.796	86	2 1 -2
2.505	79	3 1 -1
2.370	77	3 1 -5
4.463	77	1 1 1



# 4
The following is a simulated powder X-ray diffraction pattern of La5TlI5. It was derived from a cell relaxed with GGA-PBE, using copper Kα.
Intensities are scaled so that the largest is 100.

Atomic structure:
Cell: 6.419 7.773 9.312 Å, 107.07 90.03 114.19°
Space group P-1 (No. 2)
Unique sites:
La1 0.000 0.000 0.000 [1 per cell]
La2 0.321 0.641 0.145 [2 per cell]
La3 0.337 0.672 0.679 [2 per cell]
Tl1 0.500 0.000 0.000 [1 per cell]
I1 0.150 0.300 0.802 [2 per cell]
I2 0.156 0.314 0.345 [2 per cell]
I3 0.500 0.000 0.500 [1 per cell]

Most intense lines, 5° ≤ 2θ ≤ 70°, by intensity:
d/Å	intensity	hkl
3.212	100	2 -1 0
3.237	47	0 1 2
2.279	35	2 0 2
1.884	20	2 0 -4
2.275	19	2 1 -2
2.268	19	2 -3 2



# 5
The following is a simulated powder X-ray diffraction pattern of Li3I. It was derived from a cell relaxed with GGA-PBE, using copper Kα.
Intensities are scaled so that the largest is 100.

Atomic structure:
Cell: 4.120 4.120 5.700 Å, 90.00 90.00 90.00°
Space group P4mm (No. 99)
Unique sites:
Li1 0.000 0.000 0.000 [1 per cell]
Li2 0.000 0.500 0.436 [2 per cell]
I1 0.500 0.500 0.792 [1 per cell]

Most intense lines, 5° ≤ 2θ ≤ 70°, by intensity:
d/Å	intensity	hkl
3.339	100	1 0 1
5.700	85	0 0 1
4.120	79	1 0 0
2.594	58	1 1 1
2.344	41	1 0 2
2.913	33	1 1 0



# 6
The following is a simulated powder X-ray diffraction pattern of Li6I. It was derived from a cell relaxed with GGA-PBE, using copper Kα.
Intensities are scaled so that the largest is 100.

Atomic structure:
Cell: 7.731 7.731 7.731 Å, 90.00 90.00 90.00°
Space group Im-3m (No. 229)
Unique sites:
Li1 0.000 0.250 0.500 [12 per cell]
I1 0.000 0.000 0.000 [2 per cell]

Most intense lines, 5° ≤ 2θ ≤ 70°, by intensity:
d/Å	intensity	hkl
5.467	100	1 1 0
3.156	74	2 1 1
2.066	44	3 2 1
3.866	31	2 0 0
2.445	26	3 1 0
2.733	18	2 2 0